For NpGa2Au8, a cell relaxed with GGA-PBE gives the theoretical powder XRD pattern in this record (Cu Kα (λ = 1.5418 Å)).
No peak broadening, texture or thermal motion is included.

Largest 8 diffraction maxima, by angle, 5° ≤ 2θ ≤ 70°:
32.37°, intensity 297; 35.25°, intensity 1000; 36.03°, intensity 582; 37.81°, intensity 468; 37.99°, intensity 971; 38.10°, intensity 982; 41.33°, intensity 691; 66.49°, intensity 298

Atomic structure:
```
data_NpGa2Au8
_cell_length_a 4.3819
_cell_length_b 7.3909
_cell_length_c 7.8209
_cell_angle_alpha 115.51
_cell_angle_beta 94.23
_cell_angle_gamma 106.51
_space_group_name_H-M_alt 'P -1'
_space_group_IT_number 2
_space_group_name_Hall '-P 1'
loop_
_atom_site_label
_atom_site_type_symbol
_atom_site_fract_x
_atom_site_fract_y
_atom_site_fract_z
Np1 Np 0.0000 0.0000 0.0000
Ga1 Ga 0.2893 0.5301 0.2797
Au1 Au 0.1482 0.1830 0.4626
Au2 Au 0.1704 0.3730 0.8847
Au3 Au 0.2988 0.6712 0.6968
Au4 Au 0.4865 0.9093 0.2564
```